Structure and simulated X-ray diffraction stick pattern of Ba3Pb3Au (DFT lattice parameters and positions (GGA-PBE); Cu Ka).
Peak positions follow from Bragg's law for the DFT cell and can differ from measured ones.

Main lines, in order of falling intensity (2θ = 10–90°):
26.85 deg, I 100, hkl 1 1 -4
33.57 deg, I 93, hkl 3 1 2
34.37 deg, I 51, hkl 0 2 0
28.35 deg, I 29, hkl 4 0 -2
33.75 deg, I 28, hkl 3 1 -5
14.06 deg, I 26, hkl 2 0 -1
27.40 deg, I 25, hkl 3 1 -1
33.12 deg, I 23, hkl 4 0 -5
18.61 deg, I 21, hkl 1 1 0
30.75 deg, I 20, hkl 3 1 -4

Structure:
a b c (Å): 12.5939 5.2188 17.1928
angles (deg): 90.00 111.11 90.00
Space group C2/m (No. 12)
One atom of each set of equivalent atoms:
Ba 0.0468 0.0000 0.3858 (multiplicity 4)
Ba 0.0963 0.0000 0.9204 (multiplicity 4)
Ba 0.2487 0.0000 0.2371 (multiplicity 4)
Pb 0.0409 0.5000 0.2343 (multiplicity 4)
Pb 0.1150 0.5000 0.0769 (multiplicity 4)
Pb 0.1382 0.5000 0.5350 (multiplicity 4)
Au 0.2439 0.0000 0.6122 (multiplicity 4)

***

Structure and simulated X-ray diffraction stick pattern of Ba7Pt2PbAu2 (DFT lattice parameters and positions (GGA-PBE); Cu Ka).
Peak positions follow from Bragg's law for the DFT cell and can differ from measured ones.

Main lines, in order of falling intensity (2θ = 10–90°):
27.75 deg, I 100, hkl 2 0 0
40.31 deg, I 64, hkl 2 8 0
28.65 deg, I 42, hkl 0 8 0
39.64 deg, I 39, hkl 2 0 2
49.64 deg, I 35, hkl 2 8 2
29.11 deg, I 23, hkl 1 6 1
17.44 deg, I 19, hkl 1 3 0
35.29 deg, I 16, hkl 0 6 2
20.79 deg, I 16, hkl 1 2 1
66.72 deg, I 14, hkl 2 16 0

Structure:
a b c (Å): 6.4235 24.9286 6.4372
angles (deg): 90.00 90.00 90.00
Space group Imm2 (No. 44)
One atom of each set of equivalent atoms:
Ba 0.0000 0.0000 0.0000 (multiplicity 2)
Ba 0.0000 0.1093 0.4862 (multiplicity 4)
Ba 0.0000 0.2449 0.9825 (multiplicity 4)
Ba 0.0000 0.3890 0.4831 (multiplicity 4)
Pt 0.0000 0.1205 0.9847 (multiplicity 4)
Pb 0.0000 0.5000 0.9614 (multiplicity 2)
Au 0.0000 0.2486 0.4826 (multiplicity 4)

***

Structure and simulated X-ray diffraction stick pattern of BaPb2AuSe4 (DFT lattice parameters and positions (GGA-PBE); Cu Ka).
Peak positions follow from Bragg's law for the DFT cell and can differ from measured ones.

Main lines, in order of falling intensity (2θ = 10–90°):
29.88 deg, I 100, hkl 1 3 2
40.73 deg, I 39, hkl 2 0 0
41.47 deg, I 35, hkl 1 5 3
24.10 deg, I 33, hkl 1 1 2
13.62 deg, I 33, hkl 0 2 1
32.22 deg, I 31, hkl 0 2 5
28.02 deg, I 26, hkl 1 3 1
24.70 deg, I 23, hkl 0 4 0
23.64 deg, I 21, hkl 0 0 4
36.61 deg, I 18, hkl 1 1 5

Structure:
a b c (Å): 4.4324 14.4151 15.0553
angles (deg): 90.00 90.00 90.00
Space group Cmcm (No. 63)
One atom of each set of equivalent atoms:
Ba 0.0000 0.1153 0.2500 (multiplicity 4)
Pb 0.0000 0.3691 0.0528 (multiplicity 8)
Au 0.0000 0.1483 0.7500 (multiplicity 4)
Se 0.0000 0.0000 0.0000 (multiplicity 4)
Se 0.0000 0.2764 0.6210 (multiplicity 8)
Se 0.0000 0.4412 0.2500 (multiplicity 4)

***

Structure and simulated X-ray diffraction stick pattern of Ba2SiPbAu6 (DFT lattice parameters and positions (GGA-PBE); Cu Ka).
Peak positions follow from Bragg's law for the DFT cell and can differ from measured ones.

Main lines, in order of falling intensity (2θ = 10–90°):
34.54 deg, I 100, hkl 0 2 7
33.43 deg, I 53, hkl 1 0 13
32.61 deg, I 46, hkl 2 0 5
29.73 deg, I 44, hkl 1 1 6
54.19 deg, I 35, hkl 2 2 0
39.83 deg, I 34, hkl 2 0 11
51.21 deg, I 33, hkl 3 0 9
40.99 deg, I 31, hkl 1 2 2
18.90 deg, I 27, hkl 0 1 5
77.77 deg, I 24, hkl 3 2 13

Structure:
a b c (Å): 6.7702 6.7702 39.1785
angles (deg): 90.00 90.00 120.00
Space group R-3m (No. 166, hexagonal axes)
One atom of each set of equivalent atoms:
Ba 0.0000 0.0000 0.1110 (multiplicity 6)
Ba 0.0000 0.0000 0.2782 (multiplicity 6)
Si 0.0000 0.0000 0.0000 (multiplicity 3)
Si 0.0000 0.0000 0.5000 (multiplicity 3)
Pb 0.0000 0.0000 0.4223 (multiplicity 6)
Au 0.0442 0.5221 0.3061 (multiplicity 18)
Au 0.0580 0.5290 0.8596 (multiplicity 18)